Theoretical powder diffractogram of CaTeAuSeS for Cu Ka, from a GGA-PBE-relaxed structure.

a = 4.696 Å, b = 4.904 Å, c = 6.525 Å
α = 73.45°, β = 82.49°, γ = 74.89°
Fractional positions:
Ca 0.000 0.000 0.000
Te 0.373 0.986 0.378
Au 0.390 0.503 0.748
Se 0.609 0.583 0.048
S 0.089 0.337 0.571

Peak list (8 most intense, 10° ≤ 2θ ≤ 90°, by intensity)
2θ = 19.62°, rel. 100; 2θ = 32.42°, rel. 90; 2θ = 27.04°, rel. 67; 2θ = 31.29°, rel. 60; 2θ = 20.87°, rel. 50; 2θ = 39.96°, rel. 33; 2θ = 39.45°, rel. 31; 2θ = 24.70°, rel. 28